This entry pairs a crystal structure of Na2VSiO4 with its computed XRD peak list. Radiation: Cu Kα, 1.54184 Å. Structure: a DFT-relaxed cell (PBE+U, Alexandria).
Neutral-atom scattering factors, no anomalous dispersion.

Cell and atoms:
```
data_Na2VSiO4
_cell_length_a 5.5934
_cell_length_b 5.5934
_cell_length_c 6.6023
_cell_angle_alpha 90.00
_cell_angle_beta 90.00
_cell_angle_gamma 90.00
_symmetry_space_group_name_H-M 'P 1'
_symmetry_Int_Tables_number 1
loop_
_symmetry_equiv_pos_as_xyz
'x,y,z'
loop_
_atom_site_label
_atom_site_type_symbol
_atom_site_fract_x
_atom_site_fract_y
_atom_site_fract_z
_atom_site_occupancy
Na1 Na 0.0000 0.0000 0.0000 1
Na2 Na 0.0000 0.5000 0.2500 1
Na3 Na 0.5000 0.0000 0.7500 1
Na4 Na 0.5000 0.5000 0.5000 1
V1 V 0.0000 0.5000 0.7500 1
V2 V 0.5000 0.0000 0.2500 1
Si1 Si 0.0000 0.0000 0.5000 1
Si2 Si 0.5000 0.5000 0.0000 1
O1 O 0.1540 0.8105 0.6427 1
O2 O 0.1895 0.1540 0.3573 1
O3 O 0.3105 0.3460 0.8573 1
O4 O 0.3460 0.6895 0.1427 1
O5 O 0.6540 0.3105 0.1427 1
O6 O 0.6895 0.6540 0.8573 1
O7 O 0.8105 0.8460 0.3573 1
O8 O 0.8460 0.1895 0.6427 1
```

Top 10 peaks for 2θ from 10° to 80°, low angle first:
d (Å)  I_rel
4.268  388
2.797  308
2.534  1000
2.339  154
1.978  262
1.559  393
1.422  214
1.267  79
1.251  98
1.224  63